1.
Starting from DFT lattice parameters and positions (PBE), the powder diffractogram of KNa2O4 was calculated for Cu Kα (λ = 1.5418 Å).

Atomic structure:
Cell lengths 7.998, 7.958, 7.244 Å; angles 90.00, 119.65, 90.00 degrees
Space group Cc (No. 9)
Asymmetric unit:
K (0.000, 0.118, 0.000) [4 per cell]
Na (0.066, 0.492, 0.186) [4 per cell]
Na (0.257, 0.180, 0.763) [4 per cell]
O (0.138, 0.242, 0.402) [4 per cell]
O (0.253, 0.387, 0.031) [4 per cell]
O (0.254, 0.093, 0.439) [4 per cell]
O (0.413, 0.273, 0.110) [4 per cell]

Main lines, most intense first (15° ≤ 2θ ≤ 90°):
2θ (°)	I (rel.)
31.76	100
39.89	80
35.86	74
38.47	59
36.25	47
36.55	40
44.12	39
42.03	34
42.25	26
36.76	26

---

2.
Starting from DFT lattice parameters and positions (PBE), the powder diffractogram of K4NaO was calculated for Cu Kα (λ = 1.5418 Å).

Atomic structure:
Cell lengths 5.554, 8.572, 11.205 Å; angles 90.00, 104.12, 90.00 degrees
Space group P2_1 (No. 4)
Asymmetric unit:
K (0.000, 0.000, 0.000) [2 per cell]
K (0.172, 0.045, 0.344) [2 per cell]
K (0.172, 0.455, 0.344) [2 per cell]
K (0.424, 0.750, 0.849) [2 per cell]
Na (0.375, 0.249, 0.751) [2 per cell]
O (0.086, 0.250, 0.172) [2 per cell]

Main lines, most intense first (15° ≤ 2θ ≤ 90°):
2θ (°)	I (rel.)
26.56	100
32.36	98
26.60	77
32.24	75
25.98	50
26.08	49
35.52	43
46.24	39
54.09	35
16.47	35

---

3.
Starting from DFT lattice parameters and positions (PBE), the powder diffractogram of K2NaOsO6 was calculated for Cu Kα (λ = 1.5418 Å).

Atomic structure:
Cell lengths 6.1251, 6.1251, 5.9629 Å; angles 90.00, 90.00, 120.00 degrees
Space group P-3m1 (No. 164)
Asymmetric unit:
K (0.3333, 0.6667, 0.3579) [2 per cell]
Na (0.0000, 0.0000, 0.0000) [1 per cell]
Os (0.0000, 0.0000, 0.5000) [1 per cell]
O (0.1430, 0.2861, 0.6831) [6 per cell]

Main lines, most intense first (15° ≤ 2θ ≤ 90°):
2θ (°)	I (rel.)
16.71	100
22.43	56
29.16	44
32.88	37
34.51	33
45.79	27
55.21	22
42.31	20
37.10	20
47.87	12

---

4.
Starting from DFT lattice parameters and positions (PBE), the powder diffractogram of KNa2Os2O7 was calculated for Cu Kα (λ = 1.5418 Å).

Atomic structure:
Cell lengths 3.907, 3.907, 19.892 Å; angles 90.00, 90.00, 90.00 degrees
Space group I4/mmm (No. 139)
Asymmetric unit:
K (0.000, 0.000, 0.000) [2 per cell]
Na (0.000, 0.500, 0.250) [4 per cell]
Os (0.000, 0.000, 0.400) [4 per cell]
O (0.000, 0.000, 0.304) [4 per cell]
O (0.000, 0.000, 0.500) [2 per cell]
O (0.000, 0.500, 0.100) [8 per cell]

Main lines, most intense first (15° ≤ 2θ ≤ 90°):
2θ (°)	I (rel.)
23.20	100
32.11	70
17.84	33
32.41	31
46.49	31
57.62	28
26.48	26
26.89	23
52.58	22
57.05	21

---

5.
Starting from DFT lattice parameters and positions (PBE), the powder diffractogram of K3NaOs2O9 was calculated for Cu Kα (λ = 1.5418 Å).

Atomic structure:
Cell lengths 6.0904, 6.0904, 14.5694 Å; angles 90.00, 90.00, 120.00 degrees
Space group P6_3/mmc (No. 194)
Asymmetric unit:
K (0.0000, 0.0000, 0.2500) [2 per cell]
K (0.3333, 0.6667, 0.1081) [4 per cell]
Na (0.0000, 0.0000, 0.0000) [2 per cell]
Os (0.3333, 0.6667, 0.6501) [4 per cell]
O (0.0636, 0.5318, 0.7500) [6 per cell]
O (0.1822, 0.3643, 0.5917) [12 per cell]

Main lines, most intense first (15° ≤ 2θ ≤ 90°):
2θ (°)	I (rel.)
17.89	100
29.33	56
16.81	28
29.81	25
35.19	24
38.54	21
42.31	19
55.88	17
46.44	15
24.44	14

---

6.
Starting from DFT lattice parameters and positions (PBE), the powder diffractogram of K6Na2PbO was calculated for Cu Kα (λ = 1.5418 Å).

Atomic structure:
Cell lengths 12.378, 12.395, 8.747 Å; angles 90.00, 134.88, 90.00 degrees
Space group Cm (No. 8)
Asymmetric unit:
K (0.000, 0.000, 0.000) [2 per cell]
K (0.000, 0.000, 0.430) [2 per cell]
K (0.070, 0.500, 0.001) [2 per cell]
K (0.070, 0.500, 0.569) [2 per cell]
K (0.285, 0.285, 0.000) [4 per cell]
Na (0.285, 0.249, 0.501) [4 per cell]
Pb (0.284, 0.000, 0.999) [2 per cell]
O (0.285, 0.500, 0.000) [2 per cell]

Main lines, most intense first (15° ≤ 2θ ≤ 90°):
2θ (°)	I (rel.)
23.82	100
28.82	94
31.47	91
20.27	75
32.31	58
41.20	50
37.73	34
43.83	29
57.07	29
35.50	28

---

7.
Starting from DFT lattice parameters and positions (PBE), the powder diffractogram of K2NaPtO4 was calculated for Cu Kα (λ = 1.5418 Å).

Atomic structure:
Cell lengths 6.265, 14.001, 18.522 Å; angles 90.00, 90.00, 90.00 degrees
Space group Fddd (No. 70, origin choice 2)
Asymmetric unit:
K (0.125, 0.125, 0.302) [16 per cell]
Na (0.125, 0.125, 0.125) [8 per cell]
Pt (0.125, 0.125, 0.625) [8 per cell]
O (0.091, 0.279, 0.878) [32 per cell]

Main lines, most intense first (15° ≤ 2θ ≤ 90°):
2θ (°)	I (rel.)
21.18	100
15.87	99
19.17	64
31.68	52
16.22	51
27.88	42
48.92	42
31.28	41
39.83	29
25.45	28

---

8.
Starting from DFT lattice parameters and positions (PBE), the powder diffractogram of K2NaPu2O7 was calculated for Cu Kα (λ = 1.5418 Å).

Atomic structure:
Cell lengths 4.267, 4.267, 21.871 Å; angles 90.00, 90.00, 90.00 degrees
Space group I4/mmm (No. 139)
Asymmetric unit:
K (0.000, 0.000, 0.190) [4 per cell]
Na (0.000, 0.000, 0.000) [2 per cell]
Pu (0.000, 0.000, 0.405) [4 per cell]
O (0.000, 0.000, 0.315) [4 per cell]
O (0.000, 0.000, 0.500) [2 per cell]
O (0.000, 0.500, 0.092) [8 per cell]

Main lines, most intense first (15° ≤ 2θ ≤ 90°):
2θ (°)	I (rel.)
21.22	100
29.24	94
29.61	53
16.21	43
52.31	39
42.37	30
47.85	24
51.62	20
24.42	18
60.64	17

---

> Number 3 is which compound?

K2NaOsO6